The following is a calculated PXRD pattern of Pr12Cu6Pb. It was derived from the GGA-PBE geometry in Alexandria, using Cu Kα X-rays.

Principal peaks in the range 10 to 90 degrees two-theta, in order of rising 2θ:
two_theta  d [Å]  Rel. int.
27.33  3.263  34
29.99  2.979  44
32.46  2.758  100
34.77  2.580  18
36.95  2.432  11
44.78  2.024  23
51.64  1.770  31
53.26  1.720  12
54.84  1.674  35
63.77  1.459  20
78.67  1.216  15
79.97  1.200  15

Structure:
Cell lengths 8.937, 8.937, 8.937 Å; angles 109.47, 109.47, 109.47 degrees
Fractional coordinates of all 19 atoms:
Pr 0.113 0.301 0.812
Pr 0.188 0.488 0.301
Pr 0.188 0.887 0.699
Pr 0.301 0.188 0.488
Pr 0.301 0.812 0.113
Pr 0.488 0.301 0.188
Pr 0.512 0.699 0.812
Pr 0.699 0.188 0.887
Pr 0.699 0.812 0.512
Pr 0.812 0.113 0.301
Pr 0.812 0.512 0.699
Pr 0.887 0.699 0.188
Cu 0.120 0.500 0.620
Cu 0.380 0.880 0.500
Cu 0.500 0.380 0.880
Cu 0.500 0.620 0.120
Cu 0.620 0.120 0.500
Cu 0.880 0.500 0.380
Pb 0.000 0.000 0.000

=====

The following is a calculated PXRD pattern of Bi. It was derived from the GGA-PBE geometry in Alexandria, using Cu Kα X-rays.

Principal peaks in the range 10 to 90 degrees two-theta, in order of rising 2θ:
two_theta  d [Å]  Rel. int.
18.81  4.717  96
26.30  3.389  58
32.53  2.752  51
32.89  2.723  100
38.16  2.358  17
42.59  2.123  100
46.94  1.936  19
58.50  1.578  20
58.72  1.572  20
64.80  1.439  30
65.44  1.426  29
75.20  1.263  20

Structure:
Cell lengths 5.446, 5.446, 3.389 Å; angles 90.00, 90.00, 120.00 degrees
Fractional coordinates of all 2 atoms:
Bi 0.333 0.667 0.000
Bi 0.667 0.333 0.000

=====

Number 2 is which compound? Bi

=====

Copy entry 2 word for word.
The following is a calculated PXRD pattern of Bi. It was derived from the GGA-PBE geometry in Alexandria, using Cu Kα X-rays.

Principal peaks in the range 10 to 90 degrees two-theta, in order of rising 2θ:
two_theta  d [Å]  Rel. int.
18.81  4.717  96
26.30  3.389  58
32.53  2.752  51
32.89  2.723  100
38.16  2.358  17
42.59  2.123  100
46.94  1.936  19
58.50  1.578  20
58.72  1.572  20
64.80  1.439  30
65.44  1.426  29
75.20  1.263  20

Structure:
Cell lengths 5.446, 5.446, 3.389 Å; angles 90.00, 90.00, 120.00 degrees
Fractional coordinates of all 2 atoms:
Bi 0.333 0.667 0.000
Bi 0.667 0.333 0.000